# Dy3Lu3BiTeOs
Simulated powder diffractogram, λ = 1.5418 Å (Cu Kα). Input: a PBE-relaxed structure.
Intensities are scaled so that the largest is 100.

Largest 10 diffraction maxima, low angle first, 10 to 80 degrees two-theta:
2θ 12.47, intensity 21, (1 0 0)
2θ 30.67, intensity 100, (1 1 1)
2θ 33.23, intensity 83, (2 0 1)
2θ 33.41, intensity 56, (1 2 0)
2θ 38.04, intensity 46, (3 0 0)
2θ 40.03, intensity 65, (1 2 1)
2θ 43.63, intensity 29, (0 0 2)
2θ 56.05, intensity 26, (1 2 2)
2θ 59.25, intensity 26, (3 0 2)
2θ 61.16, intensity 34, (3 2 1)

Structure:
a = 8.1938 Å, b = 8.1938 Å, c = 4.1487 Å
α = 90.00°, β = 90.00°, γ = 120.00°
Space group P-6 (No. 174)
Symmetry-distinct sites (fractional):
Dy: 0.0017 0.6152 0.0000 [3 per cell]
Lu: 0.0010 0.2329 0.5000 [3 per cell]
Bi: 0.6667 0.3333 0.5000 [1 per cell]
Te: 0.3333 0.6667 0.5000 [1 per cell]
Os: 0.0000 0.0000 0.0000 [1 per cell]

# Dy3BiN2
Simulated powder diffractogram, λ = 1.5418 Å (Cu Kα). Input: a PBE-relaxed structure.
Intensities are scaled so that the largest is 100.

Largest 10 diffraction maxima, low angle first, 10 to 80 degrees two-theta:
2θ 29.11, intensity 10, (1 0 0)
2θ 30.36, intensity 33, (0 1 1)
2θ 33.87, intensity 100, (0 1 2)
2θ 34.30, intensity 25, (0 0 4)
2θ 39.11, intensity 20, (1 0 3)
2θ 51.60, intensity 27, (1 1 0)
2θ 52.98, intensity 9, (0 1 5)
2θ 61.13, intensity 23, (0 1 6)
2θ 63.16, intensity 17, (2 0 2)
2θ 63.43, intensity 26, (1 1 4)

Structure:
a = 3.5427 Å, b = 3.5427 Å, c = 10.4585 Å
α = 90.00°, β = 90.00°, γ = 120.00°
Space group P-3m1 (No. 164)
Symmetry-distinct sites (fractional):
Dy: 0.0000 0.0000 0.0000 [1 per cell]
Dy: 0.3333 0.6667 0.7456 [2 per cell]
Bi: 0.0000 0.0000 0.5000 [1 per cell]
N: 0.3333 0.6667 0.1407 [2 per cell]

# DyBiN2O
Simulated powder diffractogram, λ = 1.5418 Å (Cu Kα). Input: a PBE-relaxed structure.
Intensities are scaled so that the largest is 100.

Largest 10 diffraction maxima, low angle first, 10 to 80 degrees two-theta:
2θ 28.00, intensity 31, (1 1 0)
2θ 29.27, intensity 44, (0 0 2)
2θ 30.56, intensity 60, (0 2 1)
2θ 31.68, intensity 100, (1 1 1)
2θ 40.95, intensity 24, (1 1 2)
2θ 48.01, intensity 26, (1 3 0)
2θ 52.72, intensity 14, (0 2 3)
2θ 53.44, intensity 26, (1 1 3)
2θ 57.24, intensity 39, (1 3 2)
2θ 60.01, intensity 19, (2 2 1)

Structure:
a = 3.6273 Å, b = 6.6678 Å, c = 6.1022 Å
α = 90.00°, β = 90.00°, γ = 90.00°
Space group Pmc2_1 (No. 26)
Symmetry-distinct sites (fractional):
Dy: 0.0000 0.1518 0.0000 [2 per cell]
Bi: 0.5000 0.3289 0.5350 [2 per cell]
N: 0.0000 0.1784 0.6114 [2 per cell]
N: 0.5000 0.3825 0.9014 [2 per cell]
O: 0.5000 0.1163 0.2502 [2 per cell]

# DyBiN2O
Simulated powder diffractogram, λ = 1.5418 Å (Cu Kα). Input: a PBE-relaxed structure.
Intensities are scaled so that the largest is 100.

Largest 10 diffraction maxima, low angle first, 10 to 80 degrees two-theta:
2θ 28.59, intensity 41, (0 2 2)
2θ 30.17, intensity 63, (0 2 -2)
2θ 30.67, intensity 100, (2 0 2)
2θ 31.22, intensity 45, (2 0 -2)
2θ 31.68, intensity 46, (2 -2 0)
2θ 32.23, intensity 28, (0 1 3)
2θ 32.60, intensity 24, (0 3 1)
2θ 46.86, intensity 17, (4 0 0)
2θ 53.97, intensity 19, (2 -2 4)
2θ 54.84, intensity 18, (2 -4 2)

Structure:
a = 7.7606 Å, b = 8.5545 Å, c = 8.6678 Å
α = 86.94°, β = 88.97°, γ = 88.06°
Space group P1 (No. 1)
Symmetry-distinct sites (fractional):
Dy: 0.0000 0.0000 0.0000 [1 per cell]
Dy: 0.0095 0.5368 0.0837 [1 per cell]
Dy: 0.4181 0.0019 0.5904 [1 per cell]
Dy: 0.4525 0.4500 0.5133 [1 per cell]
Dy: 0.4921 0.5639 0.0858 [1 per cell]
Dy: 0.5266 0.0122 0.0084 [1 per cell]
Dy: 0.9352 0.4773 0.5146 [1 per cell]
Dy: 0.9447 0.0149 0.5987 [1 per cell]
Bi: 0.2211 0.7796 0.3345 [1 per cell]
Bi: 0.2275 0.2797 0.8347 [1 per cell]
Bi: 0.2275 0.7144 0.7838 [1 per cell]
Bi: 0.2308 0.2215 0.2759 [1 per cell]
Bi: 0.7139 0.7924 0.3231 [1 per cell]
Bi: 0.7169 0.3006 0.8150 [1 per cell]
Bi: 0.7175 0.7348 0.7638 [1 per cell]
Bi: 0.7234 0.2343 0.2642 [1 per cell]
N: 0.1689 0.0122 0.4178 [1 per cell]
N: 0.2550 0.1255 0.0572 [1 per cell]
N: 0.2707 0.5020 0.9235 [1 per cell]
N: 0.3497 0.7137 0.5479 [1 per cell]
N: 0.4640 0.8116 0.2046 [1 per cell]
N: 0.4675 0.8189 0.8445 [1 per cell]
N: 0.4771 0.1962 0.7535 [1 per cell]
N: 0.4804 0.2027 0.3942 [1 per cell]
N: 0.5949 0.3002 0.0508 [1 per cell]
N: 0.6743 0.5125 0.6750 [1 per cell]
N: 0.6897 0.8890 0.5416 [1 per cell]
N: 0.7758 0.0019 0.1809 [1 per cell]
N: 0.9628 0.2898 0.9251 [1 per cell]
N: 0.9696 0.6749 0.3150 [1 per cell]
N: 0.9749 0.3393 0.2838 [1 per cell]
N: 0.9820 0.7246 0.6731 [1 per cell]
O: 0.1322 0.7721 0.0247 [1 per cell]
O: 0.1644 0.0175 0.7596 [1 per cell]
O: 0.1840 0.3702 0.5948 [1 per cell]
O: 0.2852 0.4916 0.2679 [1 per cell]
O: 0.6590 0.5229 0.3310 [1 per cell]
O: 0.7604 0.6435 0.0036 [1 per cell]
O: 0.7800 0.9964 0.8391 [1 per cell]
O: 0.8123 0.2425 0.5738 [1 per cell]

# DyBiNO
Simulated powder diffractogram, λ = 1.5418 Å (Cu Kα). Input: a PBE-relaxed structure.
Intensities are scaled so that the largest is 100.

Largest 10 diffraction maxima, low angle first, 10 to 80 degrees two-theta:
2θ 27.06, intensity 29, (0 2 0)
2θ 27.82, intensity 24, (0 0 2)
2θ 30.48, intensity 100, (1 1 1)
2θ 39.21, intensity 16, (0 2 2)
2θ 47.67, intensity 9, (2 0 0)
2θ 47.84, intensity 14, (1 3 0)
2θ 50.91, intensity 19, (1 1 3)
2θ 56.25, intensity 14, (1 3 2)
2θ 57.68, intensity 9, (2 2 1)
2θ 57.89, intensity 8, (0 4 1)

Structure:
a = 3.8154 Å, b = 6.5787 Å, c = 6.4134 Å
α = 90.00°, β = 90.00°, γ = 90.00°
Space group Pmc2_1 (No. 26)
Symmetry-distinct sites (fractional):
Dy: 0.0000 0.1901 0.0000 [2 per cell]
Bi: 0.5000 0.3248 0.5670 [2 per cell]
N: 0.5000 0.3675 0.9270 [2 per cell]
O: 0.0000 0.0639 0.3010 [2 per cell]

# DyBiN2O
Simulated powder diffractogram, λ = 1.5418 Å (Cu Kα). Input: a PBE-relaxed structure.
Intensities are scaled so that the largest is 100.

Largest 10 diffraction maxima, low angle first, 10 to 80 degrees two-theta:
2θ 29.09, intensity 53, (1 0 -1)
2θ 29.41, intensity 46, (0 1 -1)
2θ 29.59, intensity 50, (1 1 2)
2θ 30.74, intensity 100, (1 -1 0)
2θ 31.21, intensity 49, (2 1 1)
2θ 42.61, intensity 22, (0 2 2)
2θ 43.06, intensity 19, (2 2 0)
2θ 43.77, intensity 18, (2 0 2)
2θ 54.05, intensity 19, (2 3 3)
2θ 55.25, intensity 26, (3 3 2)

Structure:
a = 5.7331 Å, b = 5.8167 Å, c = 6.0600 Å
α = 61.63°, β = 62.84°, γ = 60.50°
Space group P1 (No. 1)
Symmetry-distinct sites (fractional):
Dy: 0.0000 0.0000 0.0000 [1 per cell]
Dy: 0.2778 0.2752 0.1774 [1 per cell]
Bi: 0.5054 0.4678 0.5270 [1 per cell]
Bi: 0.7826 0.7863 0.6514 [1 per cell]
N: 0.1788 0.6055 0.3569 [1 per cell]
N: 0.4074 0.0868 0.8356 [1 per cell]
N: 0.6665 0.4175 0.8262 [1 per cell]
N: 0.8749 0.1780 0.3423 [1 per cell]
O: 0.0770 0.6703 0.8595 [1 per cell]
O: 0.5977 0.8738 0.3344 [1 per cell]